CaErTlSn: computed powder diffraction line list (Cu Kα (λ = 1.5418 Å)), based on a crystal structure in Alexandria, relaxed with PBE.
Intensities are scaled so that the largest is 100.

Peak list (12 most intense, 10 to 90 degrees two-theta, low angle first)
2θ/deg	I (rel.)	h k l
20.2	17	1 1 1
23.3	5	2 0 0
33.3	100	2 2 0
39.2	10	3 1 1
47.7	18	4 0 0
52.3	4	3 3 1
59.4	38	4 2 2
63.4	3	5 1 1
69.8	12	4 4 0
73.5	3	5 3 1
79.6	17	6 2 0
89.0	4	4 4 4

Atomic structure:
```
data_CaErTlSn
_cell_length_a 7.6199
_cell_length_b 7.6199
_cell_length_c 7.6199
_cell_angle_alpha 90.00
_cell_angle_beta 90.00
_cell_angle_gamma 90.00
_symmetry_space_group_name_H-M 'F -4 3 m'
_symmetry_Int_Tables_number 216
_symmetry_space_group_name_Hall 'F -4 2 3'
loop_
_atom_site_label
_atom_site_fract_x
_atom_site_fract_y
_atom_site_fract_z
Ca1 0.0000 0.0000 0.0000
Er1 0.0000 0.0000 0.5000
Tl1 0.2500 0.2500 0.7500
Sn1 0.2500 0.2500 0.2500
```